The following is a theoretical powder diffractogram of TiNbFe4. It was derived from DFT lattice parameters and positions (GGA-PBE), using a wavelength of 1.5418 Å.
Peak positions follow from Bragg's law for the DFT cell and can differ from measured ones.

Structure:
Cell lengths 4.7314, 4.7314, 7.8278 Å; angles 90.00, 90.00, 120.00 degrees
Space group P-3m1 (No. 164)
Symmetry-distinct sites (fractional):
Ti (0.3333, 0.6667, 0.0604) x2
Nb (0.3333, 0.6667, 0.4291) x2
Fe (0.0000, 0.0000, 0.0000) x1
Fe (0.0000, 0.0000, 0.5000) x1
Fe (0.1706, 0.3412, 0.7525) x6

Principal peaks in the range 2θ = 15–90°, sorted by position:
38.0 deg, I 37.1; 41.0 deg, I 85.6; 44.8 deg, I 100.0; 45.8 deg, I 87.0; 46.4 deg, I 15.7; 50.3 deg, I 17.0; 70.7 deg, I 27.7; 73.4 deg, I 20.7; 76.6 deg, I 30.4; 81.3 deg, I 24.2

The following is a theoretical powder diffractogram of Ti3Nb2Fe. It was derived from DFT lattice parameters and positions (GGA-PBE), using a wavelength of 1.5418 Å.
Peak positions follow from Bragg's law for the DFT cell and can differ from measured ones.

Structure:
Cell lengths 4.8169, 5.3759, 7.8305 Å; angles 90.00, 101.90, 90.00 degrees
Space group P2_1/m (No. 11)
Symmetry-distinct sites (fractional):
Ti (0.1286, 0.2500, 0.0627) x2
Ti (0.3237, 0.5069, 0.7559) x4
Nb (0.2103, 0.7500, 0.3438) x2
Nb (0.2175, 0.2500, 0.4326) x2
Fe (0.3794, 0.7500, 0.0187) x2

Principal peaks in the range 2θ = 15–90°, sorted by position:
33.3 deg, I 57.8; 36.4 deg, I 58.7; 37.5 deg, I 71.0; 38.2 deg, I 49.3; 39.2 deg, I 54.6; 40.2 deg, I 68.6; 41.0 deg, I 68.7; 41.6 deg, I 100.0; 43.3 deg, I 39.7; 43.7 deg, I 37.7

The following is a theoretical powder diffractogram of TmNbFe4. It was derived from DFT lattice parameters and positions (GGA-PBE), using a wavelength of 1.5418 Å.
Peak positions follow from Bragg's law for the DFT cell and can differ from measured ones.

Structure:
Cell lengths 4.9546, 4.9546, 8.1133 Å; angles 90.00, 90.00, 120.00 degrees
Space group P-3m1 (No. 164)
Symmetry-distinct sites (fractional):
Tm (0.3333, 0.6667, 0.4331) x2
Nb (0.3333, 0.6667, 0.0564) x2
Fe (0.0000, 0.0000, 0.0000) x1
Fe (0.0000, 0.0000, 0.5000) x1
Fe (0.1677, 0.3355, 0.7623) x6

Principal peaks in the range 2θ = 15–90°, sorted by position:
30.3 deg, I 21.4; 36.3 deg, I 61.1; 39.4 deg, I 95.5; 42.1 deg, I 15.0; 42.8 deg, I 100.0; 43.6 deg, I 60.4; 67.3 deg, I 37.4; 69.7 deg, I 22.1; 73.1 deg, I 26.4; 77.0 deg, I 22.4

The following is a theoretical powder diffractogram of Nb6VFe. It was derived from DFT lattice parameters and positions (GGA-PBE), using a wavelength of 1.5418 Å.
Peak positions follow from Bragg's law for the DFT cell and can differ from measured ones.

Structure:
Cell lengths 4.5434, 4.5434, 12.9406 Å; angles 90.00, 90.00, 90.00 degrees
Space group I4/mmm (No. 139)
Symmetry-distinct sites (fractional):
Nb (0.0000, 0.0000, 0.2465) x4
Nb (0.0000, 0.5000, 0.1187) x8
V (0.0000, 0.0000, 0.0000) x2
Fe (0.0000, 0.0000, 0.5000) x2

Principal peaks in the range 2θ = 15–90°, sorted by position:
31.1 deg, I 5.3; 39.5 deg, I 100.0; 39.7 deg, I 50.3; 56.9 deg, I 7.9; 57.4 deg, I 16.5; 59.1 deg, I 2.0; 71.6 deg, I 15.4; 71.9 deg, I 32.0; 85.1 deg, I 9.7; 85.5 deg, I 5.1

The following is a theoretical powder diffractogram of Nb6FeW. It was derived from DFT lattice parameters and positions (GGA-PBE), using a wavelength of 1.5418 Å.
Peak positions follow from Bragg's law for the DFT cell and can differ from measured ones.

Structure:
Cell lengths 4.5716, 4.5716, 13.1010 Å; angles 90.00, 90.00, 90.00 degrees
Space group I4/mmm (No. 139)
Symmetry-distinct sites (fractional):
Nb (0.0000, 0.0000, 0.2484) x4
Nb (0.0000, 0.5000, 0.1200) x8
Fe (0.0000, 0.0000, 0.5000) x2
W (0.0000, 0.0000, 0.0000) x2

Principal peaks in the range 2θ = 15–90°, sorted by position:
20.6 deg, I 11.6; 28.3 deg, I 4.8; 39.2 deg, I 100.0; 39.4 deg, I 49.4; 56.2 deg, I 8.4; 57.0 deg, I 16.5; 70.8 deg, I 16.4; 71.3 deg, I 32.8; 84.2 deg, I 10.3; 84.8 deg, I 5.2

The following is a theoretical powder diffractogram of Nb3Fe8W. It was derived from DFT lattice parameters and positions (GGA-PBE), using a wavelength of 1.5418 Å.
Peak positions follow from Bragg's law for the DFT cell and can differ from measured ones.

Structure:
Cell lengths 4.7657, 4.7657, 7.8430 Å; angles 90.00, 90.00, 120.00 degrees
Space group P3m1 (No. 156)
Symmetry-distinct sites (fractional):
Nb (0.0000, 0.0000, 0.0000) x1
Nb (0.0000, 0.0000, 0.3739) x1
Nb (0.3333, 0.6667, 0.8605) x1
Fe (0.0066, 0.5033, 0.1833) x3
Fe (0.3285, 0.1642, 0.6809) x3
Fe (0.6667, 0.3333, 0.4318) x1
Fe (0.6667, 0.3333, 0.9328) x1
W (0.3333, 0.6667, 0.4954) x1

Principal peaks in the range 2θ = 15–90°, sorted by position:
24.4 deg, I 14.7; 37.8 deg, I 56.5; 40.9 deg, I 98.7; 43.9 deg, I 15.3; 44.5 deg, I 100.0; 45.4 deg, I 67.0; 70.3 deg, I 36.1; 72.9 deg, I 21.7; 76.2 deg, I 26.7; 80.6 deg, I 22.5